[1]
For InAg3, DFT lattice parameters and positions (PBE) gives the simulated X-ray powder pattern in this record (Cu Kα, 1.54184 Å).

Structural model:
a b c (Å): 3.025 3.025 9.860
angles (deg): 90.00 90.00 118.26
Element x y z (fractional)
In (0.000, 0.000, 0.000)
Ag (0.000, 0.000, 0.500)
Ag (0.500, 0.500, 0.257)
Ag (0.500, 0.500, 0.743)

Principal peaks in the range 2θ from 5° to 70°, most intense first:
2θ = 38.41°, intensity 100
2θ = 34.55°, intensity 34
2θ = 36.45°, intensity 29
2θ = 51.10°, intensity 21
2θ = 64.47°, intensity 20
2θ = 66.90°, intensity 18
2θ = 59.57°, intensity 7



[2]
For BaZrO3, DFT lattice parameters and positions (PBE) gives the simulated X-ray powder pattern in this record (Cu Kα, 1.54184 Å).

Structural model:
a b c (Å): 4.256 4.256 4.256
angles (deg): 90.00 90.00 90.00
Element x y z (fractional)
Ba (0.000, 0.000, 0.000)
Zr (0.500, 0.500, 0.500)
O (0.000, 0.500, 0.500)
O (0.500, 0.000, 0.500)
O (0.500, 0.500, 0.000)

Principal peaks in the range 2θ from 5° to 70°, most intense first:
2θ = 29.69°, intensity 100
2θ = 52.68°, intensity 40
2θ = 42.48°, intensity 32
2θ = 61.64°, intensity 20
2θ = 69.90°, intensity 17
2θ = 36.57°, intensity 7
2θ = 20.87°, intensity 1
2θ = 47.79°, intensity 1



[3]
For SmThUS5, DFT lattice parameters and positions (PBE) gives the simulated X-ray powder pattern in this record (Cu Kα, 1.54184 Å).

Structural model:
a b c (Å): 7.454 8.010 12.015
angles (deg): 90.00 90.00 90.00
Element x y z (fractional)
Sm (0.021, 0.248, 0.432)
Sm (0.479, 0.752, 0.932)
Sm (0.521, 0.252, 0.568)
Sm (0.979, 0.748, 0.068)
Th (0.024, 0.749, 0.426)
Th (0.476, 0.251, 0.926)
Th (0.524, 0.751, 0.574)
Th (0.976, 0.249, 0.074)
U (0.071, 0.998, 0.744)
U (0.429, 0.002, 0.244)
U (0.571, 0.502, 0.256)
U (0.929, 0.498, 0.756)
S (0.040, 0.999, 0.250)
S (0.164, 0.708, 0.648)
S (0.165, 0.289, 0.652)
S (0.171, 0.494, 0.937)
S (0.198, 0.003, 0.965)
S (0.302, 0.997, 0.465)
S (0.329, 0.506, 0.437)
S (0.335, 0.711, 0.152)
S (0.336, 0.292, 0.148)
S (0.460, 0.001, 0.750)
S (0.540, 0.501, 0.750)
S (0.664, 0.792, 0.352)
S (0.665, 0.211, 0.348)
S (0.671, 0.006, 0.063)
S (0.698, 0.497, 0.035)
S (0.802, 0.503, 0.535)
S (0.829, 0.994, 0.563)
S (0.835, 0.789, 0.848)
S (0.836, 0.208, 0.852)
S (0.960, 0.499, 0.250)

Principal peaks in the range 2θ from 5° to 70°, most intense first:
2θ = 25.24°, intensity 100
2θ = 26.33°, intensity 73
2θ = 36.16°, intensity 62
2θ = 26.75°, intensity 61
2θ = 23.88°, intensity 47
2θ = 45.68°, intensity 44
2θ = 52.55°, intensity 37
2θ = 45.29°, intensity 36
2θ = 51.83°, intensity 28
2θ = 37.43°, intensity 25
2θ = 42.83°, intensity 19
2θ = 40.89°, intensity 16



Q: Which formula does entry 3 have?
A: SmThUS5